The following is a theoretical PXRD pattern of Ba2NaPb7. It was derived from a crystal structure in Alexandria, relaxed with GGA-PBE, using a wavelength of 1.5418 Å.
Kinematic intensities with the Lorentz-polarization factor, no thermal factor.

Atomic structure:
```
data_Ba2NaPb7
_space_group_name_H-M_alt 'P -4 m 2'
_space_group_IT_number 115
_space_group_name_Hall 'P -4 -2'
_cell_length_a 5.107
_cell_length_b 5.107
_cell_length_c 14.098
_cell_angle_alpha 90.00
_cell_angle_beta 90.00
_cell_angle_gamma 90.00
loop_
_atom_site_label
_atom_site_fract_x
_atom_site_fract_y
_atom_site_fract_z
_atom_site_occupancy
Ba1 0.000 0.500 0.250 1
Na1 0.000 0.000 0.500 1
Pb1 0.000 0.000 0.000 1
Pb2 0.000 0.500 0.639 1
Pb3 0.000 0.500 0.856 1
Pb4 0.500 0.500 0.000 1
Pb5 0.500 0.500 0.500 1
```

The 6 most intense peaks (10° ≤ 2θ ≤ 90°), in order of rising 2θ:
| Position (°2θ) | Rel. int. |
| --- | --- |
| 18.48 | 38 |
| 25.76 | 47 |
| 27.76 | 100 |
| 35.14 | 71 |
| 35.59 | 59 |
| 36.40 | 49 |